Entry 1:
Computed powder XRD pattern of Y6Te2Pd for a wavelength of 1.5418 Å, from DFT lattice parameters and positions (GGA-PBE).

Atomic structure:
Cell lengths 21.9696, 4.0335, 11.5720 Å; angles 90.00, 90.00, 90.00 degrees
Space group Pnma (No. 62)
Inequivalent atoms, fractional coordinates:
Y  0.0116  0.2500  0.1141 (multiplicity 4)
Y  0.0249  0.7500  0.3788 (multiplicity 4)
Y  0.1088  0.2500  0.8217 (multiplicity 4)
Y  0.1454  0.7500  0.0726 (multiplicity 4)
Y  0.1544  0.2500  0.5379 (multiplicity 4)
Y  0.2346  0.7500  0.7497 (multiplicity 4)
Te  0.1260  0.2500  0.2756 (multiplicity 4)
Te  0.2388  0.2500  0.9652 (multiplicity 4)
Pd  0.0740  0.7500  0.6438 (multiplicity 4)

Top 10 peaks for 10 to 90 degrees two-theta, in order of rising 2θ:
| d/Å | I_rel | h k l |
| --- | --- | --- |
| 3.015 | 42.7 | 3 1 2 |
| 2.878 | 100.0 | 5 1 1 |
| 2.798 | 49.0 | 2 0 4 |
| 2.788 | 34.6 | 0 1 3 |
| 2.702 | 32.0 | 2 1 3 |
| 2.643 | 53.2 | 5 1 2 |
| 2.605 | 39.3 | 3 1 3 |
| 2.455 | 29.2 | 6 1 2 |
| 2.417 | 28.1 | 5 0 4 |
| 2.017 | 43.7 | 0 2 0 |

=====

Entry 2:
Computed powder XRD pattern of ZnTe12Pd7 for a wavelength of 1.5418 Å, from DFT lattice parameters and positions (GGA-PBE).

Atomic structure:
Cell lengths 12.8851, 12.8851, 10.8840 Å; angles 90.00, 90.00, 120.00 degrees
Space group R-3 (No. 148, hexagonal axes)
Inequivalent atoms, fractional coordinates:
Zn  0.0000  0.0000  0.0000 (multiplicity 3)
Te  0.0534  0.4417  0.6590 (multiplicity 18)
Te  0.0534  0.8744  0.3370 (multiplicity 18)
Pd  0.0000  0.0000  0.5000 (multiplicity 3)
Pd  0.0515  0.8848  0.8265 (multiplicity 18)

Top 10 peaks for 10 to 90 degrees two-theta, in order of rising 2θ:
| d/Å | I_rel | h k l |
| --- | --- | --- |
| 6.443 | 14.7 | 1 1 0 |
| 3.628 | 9.2 | 0 0 3 |
| 2.977 | 15.4 | 1 3 1 |
| 2.690 | 100.0 | 4 -1 2 |
| 2.044 | 44.4 | 1 3 4 |
| 1.814 | 10.4 | 0 0 6 |
| 1.787 | 25.8 | 5 2 0 |
| 1.488 | 12.1 | 2 6 2 |
| 1.273 | 15.7 | 5 2 6 |
| 1.144 | 8.3 | 9 1 2 |

=====

Entry 3:
Computed powder XRD pattern of ZnTePd6 for a wavelength of 1.5418 Å, from DFT lattice parameters and positions (GGA-PBE).

Atomic structure:
Cell lengths 5.9212, 7.5950, 11.4237 Å; angles 90.00, 90.00, 90.00 degrees
Space group Fmmm (No. 69)
Inequivalent atoms, fractional coordinates:
Zn  0.0000  0.0000  0.0000 (multiplicity 4)
Te  0.0000  0.0000  0.5000 (multiplicity 4)
Pd  0.0000  0.0000  0.2448 (multiplicity 8)
Pd  0.2500  0.2500  0.1231 (multiplicity 16)

Top 10 peaks for 10 to 90 degrees two-theta, in order of rising 2θ:
| d/Å | I_rel | h k l |
| --- | --- | --- |
| 2.335 | 100.0 | 2 2 0 |
| 2.282 | 93.5 | 0 2 4 |
| 2.055 | 67.9 | 2 0 4 |
| 1.899 | 26.6 | 0 4 0 |
| 1.480 | 11.6 | 4 0 0 |
| 1.395 | 37.6 | 2 4 4 |
| 1.242 | 25.7 | 4 2 4 |
| 1.218 | 23.4 | 2 2 8 |
| 1.167 | 10.5 | 4 4 0 |
| 1.164 | 10.5 | 2 6 0 |